Structure and theoretical powder diffractogram of KZn5F11 (a DFT-relaxed cell (PBE, Alexandria); Cu Kα, 1.54184 Å).

Main lines, in order of rising 2θ (10° ≤ 2θ ≤ 90°):
two_theta, I_rel, (hkl)
17.08, 100.0, 1 1 -1
21.03, 31.6, 0 2 1
27.97, 9.6, 1 3 0
28.85, 26.1, 1 3 -1
31.45, 23.0, 2 2 0
40.48, 21.8, 0 0 3
42.88, 32.6, 2 4 0
45.57, 26.6, 3 3 -1
52.48, 10.6, 2 4 -3
61.64, 11.7, 3 3 -4

Structural model:
a = 7.142 Å, b = 10.900 Å, c = 7.169 Å
α = 90.00°, β = 111.17°, γ = 90.00°
Space group C2/m (No. 12)
Symmetry-distinct sites (fractional):
K: 0.000 0.000 0.000
Zn: 0.000 0.500 0.000
Zn: 0.216 0.151 0.645
F: 0.000 0.000 0.500
F: 0.087 0.212 0.359
F: 0.095 0.500 0.324
F: 0.219 0.372 0.068

Structure and theoretical powder diffractogram of Na4Dy3ThS8 (a DFT-relaxed cell (PBE, Alexandria); Cu Kα, 1.54184 Å).

Main lines, in order of rising 2θ (10° ≤ 2θ ≤ 90°):
two_theta, I_rel, (hkl)
13.20, 91.0, 0 0 3
26.12, 48.8, 0 2 1
27.24, 34.8, 2 0 2
31.37, 100.0, 0 2 4
34.16, 21.3, 2 0 5
40.80, 19.8, 0 2 7
44.52, 36.3, 2 0 8
45.38, 35.2, 2 2 0
47.47, 22.9, 2 2 3
56.20, 18.3, 4 0 4

Structural model:
a = 7.9942 Å, b = 7.9942 Å, c = 20.1284 Å
α = 90.00°, β = 90.00°, γ = 120.00°
Space group R-3m (No. 166, hexagonal axes)
Symmetry-distinct sites (fractional):
Na: 0.0000 0.0000 0.0000
Na: 0.0000 0.5000 0.0000
Dy: 0.0000 0.5000 0.5000
Th: 0.0000 0.0000 0.5000
S: 0.0000 0.0000 0.2425
S: 0.0034 0.5017 0.7560

Structure and theoretical powder diffractogram of PaTiSi2 (a DFT-relaxed cell (PBE, Alexandria); Cu Kα, 1.54184 Å).

Main lines, in order of rising 2θ (10° ≤ 2θ ≤ 90°):
two_theta, I_rel, (hkl)
14.45, 33.7, 1 0 1
20.82, 70.4, 1 0 2
24.88, 65.6, 2 0 1
25.23, 44.4, 0 1 1
27.84, 40.1, 1 1 1
31.73, 100.0, 1 1 2
33.45, 84.5, 2 1 0
34.89, 39.8, 0 0 4
37.40, 69.0, 1 1 3
49.11, 41.0, 2 1 4

Structural model:
a = 7.636 Å, b = 3.759 Å, c = 10.286 Å
α = 90.00°, β = 90.00°, γ = 90.00°
Space group Pnma (No. 62)
Symmetry-distinct sites (fractional):
Pa: 0.138 0.250 0.138
Ti: 0.009 0.750 0.396
Si: 0.160 0.250 0.814
Si: 0.238 0.250 0.439

Structure and theoretical powder diffractogram of Sr2MgW (a DFT-relaxed cell (PBE, Alexandria); Cu Kα, 1.54184 Å).

Main lines, in order of rising 2θ (10° ≤ 2θ ≤ 90°):
two_theta, I_rel, (hkl)
15.01, 59.3, 2 0 0
15.43, 51.1, 0 0 1
29.57, 31.9, 4 0 -1
30.25, 100.0, 2 0 -2
31.14, 29.6, 0 0 2
31.47, 32.2, 1 1 -1
33.72, 96.2, 1 1 1
36.31, 72.4, 3 1 -1
61.75, 24.1, 2 0 -4
65.71, 22.5, 2 2 -2

Structural model:
a = 12.379 Å, b = 3.241 Å, c = 6.026 Å
α = 90.00°, β = 107.58°, γ = 90.00°
Space group Cm (No. 8)
Symmetry-distinct sites (fractional):
Sr: 0.000 0.000 0.000
Sr: 0.199 0.000 0.620
Mg: 0.273 0.500 0.183
W: 0.447 0.000 0.472